The following is a computed XRD peak list of GdAg6Sn. It was derived from the GGA-PBE geometry in OQMD, using Cu Kα X-rays.

Atomic structure:
Lattice parameters (Å, degrees): 4.9930 6.0120 5.2686 90.00 90.00 90.00
Fractional coordinates of all 8 atoms:
1 Gd 0.0000 0.0000 0.0000
2 Ag 0.0000 0.2582 0.5004
3 Ag 0.0000 0.5000 0.0144
4 Ag 0.0000 0.7418 0.5004
5 Ag 0.5000 0.0000 0.6556
6 Ag 0.5000 0.2540 0.1867
7 Ag 0.5000 0.7460 0.1867
8 Sn 0.5000 0.5000 0.6980

Top 10 peaks for 2θ = 15–90°, by intensity:
2θ = 38.93°, I 100; 2θ = 38.64°, I 57; 2θ = 35.97°, I 44; 2θ = 34.35°, I 28; 2θ = 73.00°, I 20; 2θ = 66.64°, I 20; 2θ = 50.59°, I 18; 2θ = 61.11°, I 17; 2θ = 75.23°, I 15; 2θ = 66.45°, I 11

The following is a computed XRD peak list of Nb4AlFeN2. It was derived from the GGA-PBE geometry in OQMD, using Cu Kα X-rays.

Atomic structure:
Lattice parameters (Å, degrees): 3.0887 3.0887 13.5088 90.00 90.00 120.00
Fractional coordinates of all 8 atoms:
1 Nb 0.0000 0.0000 0.1487
2 Nb 0.0000 0.0000 0.8513
3 Nb 0.6667 0.3333 0.3340
4 Nb 0.6667 0.3333 0.6660
5 Al 0.0000 0.0000 0.5000
6 Fe 0.6667 0.3333 0.0000
7 N 0.3333 0.6667 0.2405
8 N 0.3333 0.6667 0.7595

Top 10 peaks for 2θ = 15–90°, by intensity:
2θ = 39.17°, I 100; 2θ = 33.50°, I 21; 2θ = 59.89°, I 21; 2θ = 40.05°, I 16; 2θ = 53.17°, I 15; 2θ = 74.51°, I 15; 2θ = 73.93°, I 14; 2θ = 34.17°, I 11; 2θ = 72.16°, I 11; 2θ = 43.14°, I 9

The following is a computed XRD peak list of Na4CdIn3. It was derived from the GGA-PBE geometry in OQMD, using Cu Kα X-rays.

Atomic structure:
Lattice parameters (Å, degrees): 5.1875 5.1875 7.3812 90.00 90.00 90.00
Fractional coordinates of all 8 atoms:
1 Na 0.0000 0.0000 0.0000
2 Na 0.0000 0.5000 0.7473
3 Na 0.5000 0.0000 0.2527
4 Na 0.5000 0.5000 0.5000
5 Cd 0.0000 0.0000 0.5000
6 In 0.0000 0.5000 0.2525
7 In 0.5000 0.0000 0.7475
8 In 0.5000 0.5000 0.0000

Top 10 peaks for 2θ = 15–90°, by intensity:
2θ = 34.47°, I 100; 2θ = 20.93°, I 75; 2θ = 34.58°, I 50; 2θ = 61.90°, I 34; 2θ = 40.77°, I 27; 2θ = 61.69°, I 17; 2θ = 49.71°, I 17; 2θ = 83.27°, I 14; 2θ = 40.58°, I 13; 2θ = 54.35°, I 11

The following is a computed XRD peak list of CuSi17Ge13P. It was derived from the GGA-PBE geometry in OQMD, using Cu Kα X-rays.

Atomic structure:
Lattice parameters (Å, degrees): 6.8421 10.3487 10.3617 81.38 83.71 71.02
Fractional coordinates of all 32 atoms:
1 Cu 0.0000 0.0000 0.0000
2 Si 0.3453 0.5489 0.1033
3 Si 0.3472 0.1738 0.2198
4 Si 0.3524 0.0437 0.6009
5 Si 0.3546 0.4222 0.4776
6 Si 0.4756 0.4370 0.6778
7 Si 0.4795 0.3166 0.0581
8 Si 0.4823 0.8168 0.5484
9 Si 0.4858 0.9414 0.1702
10 Si 0.8447 0.2234 0.0472
11 Si 0.8498 0.7425 0.5327
12 Si 0.8518 0.8684 0.1563
13 Si 0.8542 0.1109 0.4067
14 Si 0.8592 0.4846 0.2824
15 Si 0.9708 0.8812 0.3594
16 Si 0.9752 0.7533 0.7340
17 Si 0.9784 0.2517 0.2376
18 Si 0.9785 0.6327 0.1184
19 Ge 0.3481 0.8044 0.3451
20 Ge 0.3497 0.6757 0.7205
21 Ge 0.3525 0.2971 0.8555
22 Ge 0.4761 0.6926 0.9327
23 Ge 0.4782 0.1866 0.4266
24 Ge 0.4844 0.5610 0.3031
25 Ge 0.4854 0.0557 0.8055
26 Ge 0.8493 0.3599 0.6625
27 Ge 0.8584 0.6133 0.9139
28 Ge 0.8656 0.9778 0.8059
29 Ge 0.9703 0.3684 0.8753
30 Ge 0.9780 0.1193 0.6143
31 Ge 0.9802 0.5060 0.4862
32 P 0.3483 0.9261 0.9815

Top 10 peaks for 2θ = 15–90°, by intensity:
2θ = 27.86°, I 100; 2θ = 46.08°, I 70; 2θ = 27.98°, I 51; 2θ = 27.63°, I 50; 2θ = 46.51°, I 45; 2θ = 54.94°, I 33; 2θ = 46.25°, I 23; 2θ = 54.71°, I 21; 2θ = 54.54°, I 15; 2θ = 67.37°, I 14

The following is a computed XRD peak list of TbDy2Cu4Si2Ge2. It was derived from the GGA-PBE geometry in OQMD, using Cu Kα X-rays.

Atomic structure:
Lattice parameters (Å, degrees): 7.9464 7.9464 7.9464 149.42 130.85 59.01
Fractional coordinates of all 11 atoms:
1 Tb 0.0000 0.0000 0.0000
2 Dy 0.3705 0.8705 0.5000
3 Dy 0.6295 0.1295 0.5000
4 Cu 0.0261 0.3357 0.6904
5 Cu 0.3547 0.6643 0.6904
6 Cu 0.6453 0.3357 0.3096
7 Cu 0.9739 0.6643 0.3096
8 Si 0.3167 0.5000 0.8167
9 Si 0.6833 0.5000 0.1833
10 Ge 0.2169 0.2169 0.0000
11 Ge 0.7831 0.7831 0.0000

Top 10 peaks for 2θ = 15–90°, by intensity:
2θ = 35.18°, I 100; 2θ = 36.32°, I 92; 2θ = 43.17°, I 30; 2θ = 64.61°, I 23; 2θ = 45.63°, I 21; 2θ = 39.86°, I 19; 2θ = 26.98°, I 17; 2θ = 22.16°, I 16; 2θ = 56.85°, I 15; 2θ = 81.21°, I 12